1.
Diffraction record for AcPm14Ho. The X-ray powder pattern is simulated, not measured: it uses a cell relaxed with PBE and Cu Kα, 1.54184 Å.

Principal peaks in the range 10° ≤ 2θ ≤ 90°, sorted by position:
| 2θ/deg | Rel. int. | index |
| --- | --- | --- |
| 27.85 | 24 | 0 2 2 |
| 30.18 | 25 | 4 0 0 |
| 31.76 | 100 | 2 0 4 |
| 41.53 | 16 | 4 2 2 |
| 49.27 | 20 | 0 4 0 |
| 54.61 | 22 | 6 0 4 |
| 58.87 | 23 | 4 4 0 |
| 59.82 | 16 | 2 4 4 |
| 76.61 | 8 | 6 4 4 |
| 81.03 | 9 | 2 2 10 |

```
data_AcPm14Ho
_cell_length_a 11.845
_cell_length_b 7.391
_cell_length_c 12.825
_cell_angle_alpha 90.00
_cell_angle_beta 90.00
_cell_angle_gamma 90.00
_symmetry_space_group_name_H-M 'A m m 2'
_symmetry_Int_Tables_number 38
loop_
_symmetry_equiv_pos_as_xyz
'x,y,z'
'-x,-y,z'
'-x,y,z'
'x,-y,z'
'x,y+1/2,z+1/2'
'-x,-y+1/2,z+1/2'
'-x,y+1/2,z+1/2'
'x,-y+1/2,z+1/2'
loop_
_atom_site_label
_atom_site_fract_x
_atom_site_fract_y
_atom_site_fract_z
_atom_site_occupancy
Ac1 0.000 0.000 0.000 1
Pm1 0.000 0.248 0.751 1
Pm2 0.248 0.000 0.335 1
Pm3 0.252 0.249 0.585 1
Pm4 0.254 0.000 0.834 1
Pm5 0.500 0.000 0.001 1
Pm6 0.500 0.000 0.501 1
Pm7 0.500 0.249 0.251 1
Ho1 0.000 0.000 0.502 1
```

***

2.
Diffraction record for AcPm6Ho2. The X-ray powder pattern is simulated, not measured: it uses a cell relaxed with PBE and Cu Kα, 1.54184 Å.

Principal peaks in the range 10° ≤ 2θ ≤ 90°, sorted by position:
| 2θ/deg | Rel. int. | index |
| --- | --- | --- |
| 30.77 | 100 | 0 2 6 |
| 30.88 | 36 | 2 0 0 |
| 30.99 | 72 | 1 3 0 |
| 44.17 | 25 | 2 2 6 |
| 44.27 | 12 | 0 4 6 |
| 54.85 | 13 | 3 1 6 |
| 54.99 | 41 | 3 3 0 |
| 61.02 | 30 | 2 0 12 |
| 64.58 | 9 | 2 6 0 |
| 78.43 | 10 | 3 3 12 |

```
data_AcPm6Ho2
_cell_length_a 5.791
_cell_length_b 9.987
_cell_length_c 21.419
_cell_angle_alpha 90.00
_cell_angle_beta 90.00
_cell_angle_gamma 90.00
_symmetry_space_group_name_H-M 'I b a m'
_symmetry_Int_Tables_number 72
_symmetry_space_group_name_Hall '-I 2 2c'
loop_
_atom_site_label
_atom_site_fract_x
_atom_site_fract_y
_atom_site_fract_z
_atom_site_occupancy
Ac1 0.000 0.000 0.250 1
Pm1 0.000 0.000 0.080 1
Pm2 0.001 0.333 0.162 1
Ho1 0.003 0.333 0.500 1
```

***

3.
Diffraction record for Ac5PmHo4. The X-ray powder pattern is simulated, not measured: it uses a cell relaxed with PBE and Cu Kα, 1.54184 Å.

Principal peaks in the range 10° ≤ 2θ ≤ 90°, sorted by position:
| 2θ/deg | Rel. int. | index |
| --- | --- | --- |
| 29.08 | 100 | 1 1 -2 |
| 29.09 | 100 | 5 1 0 |
| 32.79 | 73 | 0 2 0 |
| 35.48 | 30 | 4 0 2 |
| 47.05 | 27 | 6 2 -2 |
| 49.08 | 48 | 10 0 0 |
| 56.27 | 65 | 5 3 0 |
| 59.84 | 27 | 9 1 2 |
| 60.29 | 26 | 10 2 0 |
| 79.40 | 24 | 15 1 0 |

```
data_Ac5PmHo4
_cell_length_a 19.259
_cell_length_b 5.462
_cell_length_c 7.449
_cell_angle_alpha 90.00
_cell_angle_beta 105.52
_cell_angle_gamma 90.00
_symmetry_space_group_name_H-M 'C 1 2/m 1'
_symmetry_Int_Tables_number 12
loop_
_symmetry_equiv_pos_as_xyz
'x,y,z'
'-x,-y,-z'
'-x,y,-z'
'x,-y,z'
'x+1/2,y+1/2,z'
'-x+1/2,-y+1/2,-z'
'-x+1/2,y+1/2,-z'
'x+1/2,-y+1/2,z'
loop_
_atom_site_label
_atom_site_fract_x
_atom_site_fract_y
_atom_site_fract_z
_atom_site_occupancy
Ac1 0.000 0.000 0.000 1
Ac2 0.101 0.500 0.804 1
Ac3 0.201 0.000 0.602 1
Pm1 0.000 0.000 0.500 1
Ho1 0.100 0.500 0.301 1
Ho2 0.199 0.000 0.101 1
```

***

4.
Diffraction record for Ac3Pm4Ho2. The X-ray powder pattern is simulated, not measured: it uses a cell relaxed with PBE and Cu Kα, 1.54184 Å.

Principal peaks in the range 10° ≤ 2θ ≤ 90°, sorted by position:
| 2θ/deg | Rel. int. | index |
| --- | --- | --- |
| 27.59 | 34 | 2 -1 0 |
| 29.52 | 75 | 0 0 3 |
| 30.40 | 100 | 1 1 -2 |
| 30.55 | 48 | -1 2 1 |
| 31.97 | 89 | 1 1 1 |
| 32.20 | 42 | -2 1 2 |
| 48.40 | 39 | 3 0 -1 |
| 48.60 | 19 | 3 -3 0 |
| 54.89 | 20 | 1 1 4 |
| 57.62 | 35 | 3 0 2 |

```
data_Ac3Pm4Ho2
_cell_length_a 6.497
_cell_length_b 6.501
_cell_length_c 9.330
_cell_angle_alpha 97.06
_cell_angle_beta 96.27
_cell_angle_gamma 119.75
_symmetry_space_group_name_H-M 'P -1'
_symmetry_Int_Tables_number 2
loop_
_symmetry_equiv_pos_as_xyz
'x,y,z'
'-x,-y,-z'
loop_
_atom_site_label
_atom_site_fract_x
_atom_site_fract_y
_atom_site_fract_z
_atom_site_occupancy
Ac1 0.000 0.000 0.000 1
Ac2 0.453 0.119 0.334 1
Pm1 0.109 0.447 0.332 1
Pm2 0.334 0.658 0.003 1
Ho1 0.216 0.221 0.665 1
```